Starting from a cell relaxed with PBE+U, the PXRD pattern of Li10Co3Ni7O20 was calculated for a wavelength of 1.5418 Å.
Kinematic intensities with the Lorentz-polarization factor, no thermal factor.

```
data_Li10Co3Ni7O20
_cell_length_a 2.8151
_cell_length_b 11.4996
_cell_length_c 11.5000
_cell_angle_alpha 112.66
_cell_angle_beta 97.02
_cell_angle_gamma 90.10
_symmetry_space_group_name_H-M 'P 1'
_symmetry_Int_Tables_number 1
_symmetry_space_group_name_Hall 'P 1'
loop_
_atom_site_label
_atom_site_type_symbol
_atom_site_fract_x
_atom_site_fract_y
_atom_site_fract_z
Li1 Li 0.0051 0.2550 0.0025
Li2 Li 0.1978 0.6500 0.4012
Li3 Li 0.1989 0.1469 0.3965
Li4 Li 0.3952 0.5546 0.8018
Li5 Li 0.3987 0.0469 0.7967
Li6 Li 0.6013 0.9531 0.2033
Li7 Li 0.6048 0.4454 0.1982
Li8 Li 0.8011 0.8531 0.6035
Li9 Li 0.8022 0.3500 0.5988
Li10 Li 0.9949 0.7450 0.9975
Co1 Co 0.0000 0.5000 0.0000
Co2 Co 0.3966 0.8012 0.8010
Co3 Co 0.6034 0.1988 0.1990
Ni1 Ni 0.0000 0.0000 0.0000
Ni2 Ni 0.1972 0.3999 0.3946
Ni3 Ni 0.1982 0.8978 0.3990
Ni4 Ni 0.4046 0.3012 0.8062
Ni5 Ni 0.5954 0.6988 0.1938
Ni6 Ni 0.8018 0.1022 0.6010
Ni7 Ni 0.8028 0.6001 0.6054
O1 O 0.0923 0.5817 0.1817
O2 O 0.0993 0.8128 0.1994
O3 O 0.1041 0.0844 0.1979
O4 O 0.1070 0.3123 0.2002
O5 O 0.2991 0.7215 0.6188
O6 O 0.2985 0.9900 0.5996
O7 O 0.3011 0.2147 0.6000
O8 O 0.3043 0.4820 0.5959
O9 O 0.4798 0.8790 0.9822
O10 O 0.4993 0.3884 0.0034
O11 O 0.5007 0.6116 0.9966
O12 O 0.5202 0.1210 0.0178
O13 O 0.6957 0.5180 0.4041
O14 O 0.6989 0.7853 0.4000
O15 O 0.7015 0.0100 0.4004
O16 O 0.7009 0.2785 0.3812
O17 O 0.8930 0.6877 0.7998
O18 O 0.8959 0.9156 0.8021
O19 O 0.9007 0.1872 0.8006
O20 O 0.9077 0.4183 0.8183
```

Top 8 peaks for 5 to 70 degrees two-theta, sorted by position:
2theta	I (rel.)
18.59	100.0
35.78	15.3
37.18	24.3
38.48	9.8
43.00	24.8
45.08	43.1
63.76	12.2
64.34	12.6

***

Starting from a cell relaxed with PBE+U, the PXRD pattern of Li3Mn3O4F4 was calculated for a wavelength of 1.5418 Å.
Kinematic intensities with the Lorentz-polarization factor, no thermal factor.

```
data_Li3Mn3O4F4
_cell_length_a 6.0447
_cell_length_b 6.0447
_cell_length_c 6.0709
_cell_angle_alpha 118.86
_cell_angle_beta 118.86
_cell_angle_gamma 57.38
_symmetry_space_group_name_H-M 'P 1'
_symmetry_Int_Tables_number 1
_symmetry_space_group_name_Hall 'P 1'
loop_
_atom_site_label
_atom_site_type_symbol
_atom_site_fract_x
_atom_site_fract_y
_atom_site_fract_z
Li1 Li 0.0000 0.0000 0.0000
Li2 Li 0.3477 0.3477 0.5837
Li3 Li 0.6523 0.6523 0.4163
Mn1 Mn 0.0000 0.0000 0.5000
Mn2 Mn 0.0000 0.5000 0.0000
Mn3 Mn 0.5000 0.0000 0.0000
O1 O 0.2154 0.2154 0.7447
O2 O 0.2393 0.2393 0.1946
O3 O 0.7607 0.7607 0.8054
O4 O 0.7846 0.7846 0.2553
F1 F 0.2299 0.7478 0.7380
F2 F 0.2522 0.7701 0.2620
F3 F 0.7478 0.2299 0.7380
F4 F 0.7701 0.2522 0.2620
```

Top 8 peaks for 5 to 70 degrees two-theta, sorted by position:
2theta	I (rel.)
17.94	100.0
18.28	32.2
33.40	23.0
35.65	27.9
40.76	32.8
43.13	56.7
60.22	18.6
61.46	16.7

***

Starting from a cell relaxed with PBE+U, the PXRD pattern of Li2VCrO4 was calculated for a wavelength of 1.5418 Å.
Kinematic intensities with the Lorentz-polarization factor, no thermal factor.

```
data_Li2VCrO4
_cell_length_a 5.9782
_cell_length_b 5.9782
_cell_length_c 5.9782
_cell_angle_alpha 120.59
_cell_angle_beta 120.45
_cell_angle_gamma 89.11
_symmetry_space_group_name_H-M 'P 1'
_symmetry_Int_Tables_number 1
_symmetry_space_group_name_Hall 'P 1'
loop_
_atom_site_label
_atom_site_type_symbol
_atom_site_fract_x
_atom_site_fract_y
_atom_site_fract_z
Li1 Li 0.0000 0.0000 0.0000
Li2 Li 0.5000 0.0000 0.0000
Li3 Li 0.5000 0.0000 0.5000
Li4 Li 0.5000 0.5000 0.5000
V1 V 0.0000 0.0000 0.5000
V2 V 0.0000 0.5000 0.0000
Cr1 Cr 0.0000 0.5000 0.5000
Cr2 Cr 0.5000 0.5000 0.0000
O1 O 0.2269 0.7395 0.4875
O2 O 0.2464 0.2627 0.5164
O3 O 0.2464 0.7300 0.9836
O4 O 0.2480 0.2605 0.9875
O5 O 0.7520 0.7395 0.0125
O6 O 0.7536 0.2700 0.0164
O7 O 0.7536 0.7373 0.4836
O8 O 0.7731 0.2605 0.5125
```

Top 8 peaks for 5 to 70 degrees two-theta, sorted by position:
2theta	I (rel.)
18.23	100.0
35.03	14.1
35.44	27.1
36.93	14.1
42.44	29.9
43.14	56.7
57.02	9.0
62.11	31.2

***

Starting from a cell relaxed with PBE+U, the PXRD pattern of Na4MgMo4O10 was calculated for a wavelength of 1.5418 Å.
Kinematic intensities with the Lorentz-polarization factor, no thermal factor.

```
data_Na4MgMo4O10
_cell_length_a 5.5187
_cell_length_b 6.1331
_cell_length_c 7.9630
_cell_angle_alpha 71.15
_cell_angle_beta 69.78
_cell_angle_gamma 89.13
_symmetry_space_group_name_H-M 'P 1'
_symmetry_Int_Tables_number 1
_symmetry_space_group_name_Hall 'P 1'
loop_
_atom_site_label
_atom_site_type_symbol
_atom_site_fract_x
_atom_site_fract_y
_atom_site_fract_z
Na1 Na 0.0000 0.0000 0.0000
Na2 Na 0.1943 0.3927 0.5962
Na3 Na 0.5304 0.4698 0.9980
Na4 Na 0.7965 0.7251 0.4574
Mg1 Mg 0.3099 0.1123 0.4037
Mo1 Mo 0.1819 0.6876 0.7849
Mo2 Mo 0.4070 0.8006 0.2064
Mo3 Mo 0.6263 0.1753 0.7253
Mo4 Mo 0.9015 0.3132 0.2046
O1 O 0.1336 0.6263 0.0991
O2 O 0.1732 0.7665 0.5038
O3 O 0.2188 0.1245 0.1632
O4 O 0.3376 0.0426 0.6761
O5 O 0.4947 0.4782 0.7258
O6 O 0.5451 0.4538 0.2897
O7 O 0.6601 0.0131 0.2700
O8 O 0.6754 0.8942 0.9125
O9 O 0.9255 0.2400 0.4883
O10 O 0.9355 0.3815 0.9173
```

Top 8 peaks for 5 to 70 degrees two-theta, sorted by position:
2theta	I (rel.)
21.53	50.3
21.85	66.1
25.34	42.4
29.21	24.5
32.49	100.0
32.88	59.2
45.56	37.3
48.72	22.4

***

Starting from a cell relaxed with PBE+U, the PXRD pattern of Li3Co2Si2O8 was calculated for a wavelength of 1.5418 Å.
Kinematic intensities with the Lorentz-polarization factor, no thermal factor.

```
data_Li3Co2Si2O8
_cell_length_a 6.4083
_cell_length_b 5.1085
_cell_length_c 10.7319
_cell_angle_alpha 90.00
_cell_angle_beta 90.04
_cell_angle_gamma 90.00
_symmetry_space_group_name_H-M 'P 1'
_symmetry_Int_Tables_number 1
_symmetry_space_group_name_Hall 'P 1'
loop_
_atom_site_label
_atom_site_type_symbol
_atom_site_fract_x
_atom_site_fract_y
_atom_site_fract_z
Li1 Li 0.0000 0.0509 0.0000
Li2 Li 0.0000 0.9491 0.5000
Li3 Li 0.2586 0.0525 0.7667
Li4 Li 0.2586 0.9475 0.2667
Li5 Li 0.5055 0.4440 0.1863
Li6 Li 0.5055 0.5560 0.6863
Co1 Co 0.0051 0.4381 0.1819
Co2 Co 0.0051 0.5619 0.6819
Co3 Co 0.5138 0.0610 0.0032
Co4 Co 0.5138 0.9390 0.5032
Si1 Si 0.2544 0.4357 0.4373
Si2 Si 0.2544 0.5643 0.9373
Si3 Si 0.7559 0.0619 0.7552
Si4 Si 0.7559 0.9381 0.2552
O1 O 0.0448 0.4545 0.0121
O2 O 0.0448 0.5455 0.5121
O3 O 0.2339 0.4617 0.7881
O4 O 0.2339 0.5383 0.2881
O5 O 0.2568 0.1143 0.4369
O6 O 0.2568 0.8857 0.9369
O7 O 0.4571 0.4418 0.0055
O8 O 0.4571 0.5582 0.5055
O9 O 0.5395 0.0429 0.1896
O10 O 0.5395 0.9571 0.6896
O11 O 0.7584 0.0036 0.4025
O12 O 0.7584 0.9964 0.9025
O13 O 0.7696 0.3815 0.7292
O14 O 0.7696 0.6185 0.2292
O15 O 0.9737 0.0643 0.1909
O16 O 0.9737 0.9357 0.6909
```

Top 8 peaks for 5 to 70 degrees two-theta, sorted by position:
2theta	I (rel.)
21.60	98.2
22.25	100.0
27.84	26.3
32.55	42.0
33.40	35.0
34.07	27.0
35.13	43.3
59.16	24.3

***

Starting from a cell relaxed with PBE+U, the PXRD pattern of Li2CoSiO4 was calculated for a wavelength of 1.5418 Å.
Kinematic intensities with the Lorentz-polarization factor, no thermal factor.

```
data_Li2CoSiO4
_cell_length_a 5.3149
_cell_length_b 5.3149
_cell_length_c 6.3078
_cell_angle_alpha 90.52
_cell_angle_beta 90.52
_cell_angle_gamma 92.27
_symmetry_space_group_name_H-M 'P 1'
_symmetry_Int_Tables_number 1
_symmetry_space_group_name_Hall 'P 1'
loop_
_atom_site_label
_atom_site_type_symbol
_atom_site_fract_x
_atom_site_fract_y
_atom_site_fract_z
Li1 Li 0.1766 0.8234 0.0000
Li2 Li 0.3185 0.3185 0.2374
Li3 Li 0.6815 0.6815 0.7626
Li4 Li 0.8234 0.1766 0.0000
Co1 Co 0.1880 0.8120 0.5000
Co2 Co 0.8120 0.1880 0.5000
Si1 Si 0.3222 0.3222 0.7572
Si2 Si 0.6778 0.6778 0.2428
O1 O 0.1948 0.1948 0.5327
O2 O 0.1953 0.1953 0.9644
O3 O 0.2911 0.6313 0.7504
O4 O 0.3687 0.7089 0.2496
O5 O 0.6313 0.2911 0.7504
O6 O 0.7089 0.3687 0.2496
O7 O 0.8047 0.8047 0.0356
O8 O 0.8052 0.8052 0.4673
```

Top 8 peaks for 5 to 70 degrees two-theta, sorted by position:
2theta	I (rel.)
14.04	100.0
21.78	74.5
28.23	54.9
32.89	34.6
33.18	38.4
33.76	93.9
59.66	25.5
60.19	25.2